Diffraction record for NaNpGa2O6. The X-ray powder pattern is computed, not measured: it uses a cell relaxed with PBE and Cu Kα (weighted mean of Kα1 and Kα2).

Structural model:
Cell lengths 7.137, 7.137, 5.462 Å; angles 97.16, 97.16, 88.41 degrees
Atoms (fractional coordinates):
Na: 0.080 0.920 0.750
Na: 0.920 0.080 0.250
Np: 0.279 0.721 0.250
Np: 0.721 0.279 0.750
Ga: 0.211 0.389 0.703
Ga: 0.389 0.211 0.203
Ga: 0.611 0.789 0.797
Ga: 0.789 0.611 0.297
O: 0.004 0.239 0.645
O: 0.170 0.616 0.902
O: 0.239 0.004 0.145
O: 0.288 0.424 0.392
O: 0.384 0.830 0.598
O: 0.424 0.288 0.892
O: 0.576 0.712 0.108
O: 0.616 0.170 0.402
O: 0.712 0.576 0.608
O: 0.761 0.996 0.855
O: 0.830 0.384 0.098
O: 0.996 0.761 0.355

Largest 10 diffraction maxima, by angle, 2θ from 10° to 90°:
two_theta  Rel. int.
17.83  31.8
19.47  75.2
21.94  92.1
25.16  100.0
28.44  36.7
30.18  73.4
31.92  35.0
32.13  72.9
33.32  46.7
35.05  39.0


Diffraction record for Na8GaO6. The X-ray powder pattern is computed, not measured: it uses a cell relaxed with PBE and Cu Kα (weighted mean of Kα1 and Kα2).

Structural model:
Cell lengths 6.683, 6.981, 9.593 Å; angles 90.00, 90.00, 90.00 degrees
Atoms (fractional coordinates):
Na: 0.000 0.185 0.000
Na: 0.000 0.188 0.465
Na: 0.202 0.582 0.796
Na: 0.203 0.680 0.118
Na: 0.219 0.967 0.772
Na: 0.281 0.033 0.272
Na: 0.297 0.320 0.618
Na: 0.298 0.418 0.296
Na: 0.500 0.812 0.965
Na: 0.500 0.815 0.500
Na: 0.702 0.418 0.296
Na: 0.703 0.320 0.618
Na: 0.719 0.033 0.272
Na: 0.781 0.967 0.772
Na: 0.797 0.680 0.118
Na: 0.798 0.582 0.796
Ga: 0.000 0.712 0.476
Ga: 0.500 0.288 0.976
O: 0.000 0.247 0.237
O: 0.000 0.485 0.583
O: 0.000 0.788 0.939
O: 0.000 0.928 0.594
O: 0.222 0.728 0.354
O: 0.278 0.272 0.854
O: 0.500 0.072 0.094
O: 0.500 0.212 0.439
O: 0.500 0.515 0.083
O: 0.500 0.753 0.737
O: 0.722 0.272 0.854
O: 0.778 0.728 0.354

Largest 10 diffraction maxima, by angle, 2θ from 10° to 90°:
two_theta  Rel. int.
15.70  23.1
16.16  66.3
18.38  34.0
30.35  27.7
30.75  34.7
31.08  53.4
31.70  47.7
32.66  100.0
46.62  25.1
53.89  45.0


Diffraction record for Na2GaO. The X-ray powder pattern is computed, not measured: it uses a cell relaxed with PBE and Cu Kα (weighted mean of Kα1 and Kα2).

Structural model:
Cell lengths 6.645, 6.645, 6.645 Å; angles 96.03, 96.03, 142.18 degrees
Atoms (fractional coordinates):
Na: 0.375 0.215 0.340
Na: 0.785 0.125 0.160
Na: 0.875 0.035 0.660
Na: 0.965 0.625 0.840
Ga: 0.250 0.750 0.500
Ga: 0.500 0.500 0.000
O: 0.000 0.000 0.000
O: 0.750 0.250 0.500

Largest 10 diffraction maxima, by angle, 2θ from 10° to 90°:
two_theta  Rel. int.
19.98  100.0
28.40  33.9
30.60  95.8
40.59  25.6
42.23  18.2
44.47  34.7
45.64  49.0
53.61  35.8
55.95  17.8
69.35  16.0